Computed XRD peak list of Sr2Ca6Mn7FeO24 for Cu Kα (weighted mean of Kα1 and Kα2), from a PBE+U-relaxed structure.

Top 8 peaks for 2θ from 10° to 90°, low angle first:
| index | Position (°2θ) | I_rel |
| --- | --- | --- |
| 2 0 0 | 23.20 | 6 |
| 2 2 2 | 33.04 | 100 |
| 2 4 0 | 40.77 | 9 |
| 4 0 0 | 47.43 | 47 |
| 2 6 2 | 59.02 | 36 |
| 4 4 4 | 69.33 | 25 |
| 6 2 2 | 78.98 | 15 |
| 4 8 0 | 88.31 | 8 |

Cell and atoms:
a = 7.6667 Å, b = 10.8441 Å, c = 10.8430 Å
α = 90.00°, β = 90.00°, γ = 90.00°
Space group Amm2 (No. 38)
Symmetry-distinct sites (fractional):
Sr (0.2502, 0.0000, 0.0000)
Ca (0.2501, 0.0000, 0.4999)
Ca (0.2498, 0.2501, 0.2499)
Mn (0.0000, 0.0000, 0.2513)
Mn (0.0000, 0.0000, 0.7485)
Mn (0.0000, 0.2486, 0.4999)
Mn (0.5000, 0.0000, 0.7486)
Mn (0.5000, 0.2486, 0.4999)
Fe (0.5000, 0.0000, 0.2512)
O (0.0000, 0.1243, 0.3759)
O (0.0000, 0.1239, 0.6238)
O (0.0000, 0.1285, 0.8712)
O (0.0000, 0.1287, 0.1278)
O (0.2467, 0.0000, 0.2531)
O (0.2495, 0.2459, 0.4995)
O (0.2499, 0.0000, 0.7457)
O (0.5000, 0.1238, 0.6240)
O (0.5000, 0.1255, 0.3775)
O (0.5000, 0.1284, 0.8707)
O (0.5000, 0.1294, 0.1257)